Record 1
Diffraction record for AlZnNi5. The powder diffractogram is computed, not measured: it uses DFT lattice parameters and positions (PBE) and λ = 1.5418 Å (Cu Kα).
Lines closer than 0.1° are merged.

Crystal structure
```
data_AlZnNi5
_chemical_formula_sum 'Al1 Zn1 Ni5'
_space_group_name_H-M_alt 'P 4/m m m'
_space_group_IT_number 123
_space_group_name_Hall '-P 4 2'
_cell_length_a 3.528
_cell_length_b 3.528
_cell_length_c 7.016
_cell_angle_alpha 90.00
_cell_angle_beta 90.00
_cell_angle_gamma 90.00
loop_
_atom_site_label
_atom_site_type_symbol
_atom_site_fract_x
_atom_site_fract_y
_atom_site_fract_z
Al1 Al 0.000 0.000 0.000
Zn1 Zn 0.500 0.500 0.500
Ni1 Ni 0.000 0.000 0.500
Ni2 Ni 0.000 0.500 0.242
```

Principal peaks in the range 10 to 90 degrees two-theta, in order of rising 2θ:
| two_theta | I_rel | index |
| --- | --- | --- |
| 12.6 | 29 | 0 0 1 |
| 38.3 | 13 | 1 1 1 |
| 44.6 | 100 | 1 1 2 |
| 51.8 | 31 | 2 0 0 |
| 52.1 | 15 | 0 0 4 |
| 76.6 | 18 | 2 0 4 |

---

Record 2
Diffraction record for Li6La2Ga3. The powder diffractogram is computed, not measured: it uses DFT lattice parameters and positions (PBE) and λ = 1.5418 Å (Cu Kα).
Lines closer than 0.1° are merged.

Crystal structure
```
data_Li6La2Ga3
_chemical_formula_sum 'Li6 La2 Ga3'
_space_group_name_H-M_alt 'P -6 2 m'
_space_group_IT_number 189
_space_group_name_Hall 'P -6 -2'
_cell_length_a 7.7193
_cell_length_b 7.7193
_cell_length_c 4.5949
_cell_angle_alpha 90.00
_cell_angle_beta 90.00
_cell_angle_gamma 120.00
loop_
_atom_site_label
_atom_site_type_symbol
_atom_site_fract_x
_atom_site_fract_y
_atom_site_fract_z
Li1 Li 0.0000 0.2407 0.0000
Li2 Li 0.0000 0.7907 0.5000
La1 La 0.3333 0.6667 0.5000
Ga1 Ga 0.0000 0.5856 0.0000
```

Principal peaks in the range 10 to 90 degrees two-theta, in order of rising 2θ:
| two_theta | I_rel | index |
| --- | --- | --- |
| 13.2 | 71 | 1 0 0 |
| 23.0 | 33 | 1 1 0 |
| 30.2 | 100 | 1 1 1 |
| 33.1 | 41 | 2 0 1 |
| 35.5 | 17 | 2 1 0 |
| 40.5 | 19 | 3 0 0 |

---

Record 3
Diffraction record for Ta3ReW. The powder diffractogram is computed, not measured: it uses DFT lattice parameters and positions (PBE) and λ = 1.5418 Å (Cu Kα).
Lines closer than 0.1° are merged.

Crystal structure
```
data_Ta3ReW
_chemical_formula_sum 'Ta12 Re4 W4'
_space_group_name_H-M_alt 'C 1 2/m 1'
_space_group_IT_number 12
_cell_length_a 7.947
_cell_length_b 4.591
_cell_length_c 9.650
_cell_angle_alpha 90.00
_cell_angle_beta 106.01
_cell_angle_gamma 90.00
loop_
_space_group_symop_operation_xyz
'x,y,z'
'-x,-y,-z'
'-x,y,-z'
'x,-y,z'
'x+1/2,y+1/2,z'
'-x+1/2,-y+1/2,-z'
'-x+1/2,y+1/2,-z'
'x+1/2,-y+1/2,z'
loop_
_atom_site_label
_atom_site_type_symbol
_atom_site_fract_x
_atom_site_fract_y
_atom_site_fract_z
Ta1 Ta 0.050 0.000 0.149
Ta2 Ta 0.052 0.500 0.654
Ta3 Ta 0.249 0.500 0.247
Re1 Re 0.151 0.500 0.953
W1 W 0.151 0.000 0.452
```

Principal peaks in the range 10 to 90 degrees two-theta, in order of rising 2θ:
| two_theta | I_rel | index |
| --- | --- | --- |
| 39.3 | 100 | 0 2 0 |
| 39.5 | 98 | 1 1 3 |
| 56.9 | 34 | 4 0 2 |
| 71.2 | 18 | 6 0 -2 |
| 71.3 | 35 | 4 2 2 |
| 71.9 | 17 | 2 0 6 |

---

Record 4
Diffraction record for Bi2Pb6S9. The powder diffractogram is computed, not measured: it uses DFT lattice parameters and positions (PBE) and λ = 1.5418 Å (Cu Kα).
Lines closer than 0.1° are merged.

Crystal structure
```
data_Bi2Pb6S9
_chemical_formula_sum 'Bi8 Pb24 S36'
_space_group_name_H-M_alt 'C m c m'
_space_group_IT_number 63
_space_group_name_Hall '-C 2c 2'
_cell_length_a 4.138
_cell_length_b 13.862
_cell_length_c 32.234
_cell_angle_alpha 90.00
_cell_angle_beta 90.00
_cell_angle_gamma 90.00
loop_
_atom_site_label
_atom_site_type_symbol
_atom_site_fract_x
_atom_site_fract_y
_atom_site_fract_z
Bi1 Bi 0.000 0.043 0.118
Pb1 Pb 0.000 0.231 0.558
Pb2 Pb 0.000 0.316 0.176
Pb3 Pb 0.000 0.428 0.750
Pb4 Pb 0.000 0.500 0.000
S1 S 0.000 0.040 0.693
S2 S 0.000 0.138 0.030
S3 S 0.000 0.214 0.250
S4 S 0.000 0.326 0.639
S5 S 0.000 0.418 0.086
```

Principal peaks in the range 10 to 90 degrees two-theta, in order of rising 2θ:
| two_theta | I_rel | index |
| --- | --- | --- |
| 25.0 | 60 | 1 1 4 |
| 25.6 | 100 | 0 2 8 |
| 26.4 | 73 | 1 1 5 |
| 30.2 | 90 | 1 3 3 |
| 31.1 | 57 | 1 3 4 |
| 43.8 | 53 | 2 0 0 |